Record 1
Starting from a structure optimized by DFT (GGA+U), the powder diffractogram of Li5Mn3Cr2O10 was computed for Cu Kα X-rays.
Neutral-atom scattering factors, no anomalous dispersion.

```
data_Li5Mn3Cr2O10
_symmetry_space_group_name_H-M 'P 1'
_symmetry_Int_Tables_number 1
_symmetry_space_group_name_Hall 'P 1'
_cell_length_a 5.205
_cell_length_b 5.217
_cell_length_c 7.794
_cell_angle_alpha 103.62
_cell_angle_beta 108.20
_cell_angle_gamma 99.63
loop_
_atom_site_label
_atom_site_fract_x
_atom_site_fract_y
_atom_site_fract_z
Li1 0.000 0.000 0.000
Li2 0.221 0.108 0.724
Li3 0.425 0.706 0.919
Li4 0.575 0.294 0.081
Li5 0.779 0.892 0.276
Mn1 0.000 0.500 0.500
Mn2 0.395 0.195 0.396
Mn3 0.605 0.805 0.604
Cr1 0.198 0.601 0.193
Cr2 0.802 0.399 0.807
O1 0.031 0.270 0.270
O2 0.183 0.368 0.950
O3 0.214 0.823 0.459
O4 0.386 0.953 0.165
O5 0.412 0.426 0.644
O6 0.588 0.574 0.356
O7 0.614 0.047 0.835
O8 0.786 0.177 0.541
O9 0.817 0.632 0.050
O10 0.969 0.730 0.730
```

Most intense lines, 2θ = 10–90°, most intense first:
2θ (°), I/Imax
18.2, 100
12.6, 89
42.3, 82
42.5, 78
43.6, 70
18.1, 40
62.2, 39
34.9, 35
22.4, 25
26.2, 25

Record 2
Starting from a structure optimized by DFT (GGA+U), the powder diffractogram of Li8Mn13Cr3O32 was computed for Cu Kα X-rays.
Neutral-atom scattering factors, no anomalous dispersion.

```
data_Li8Mn13Cr3O32
_symmetry_space_group_name_H-M 'P 1'
_symmetry_Int_Tables_number 1
_symmetry_space_group_name_Hall 'P 1'
_cell_length_a 8.280
_cell_length_b 8.280
_cell_length_c 10.377
_cell_angle_alpha 113.22
_cell_angle_beta 113.22
_cell_angle_gamma 89.36
loop_
_atom_site_label
_atom_site_fract_x
_atom_site_fract_y
_atom_site_fract_z
Li1 0.069 0.567 0.386
Li2 0.182 0.182 0.111
Li3 0.316 0.316 0.886
Li4 0.433 0.931 0.614
Li5 0.567 0.069 0.386
Li6 0.684 0.684 0.114
Li7 0.818 0.818 0.889
Li8 0.931 0.433 0.614
Mn1 0.000 0.500 0.000
Mn2 0.125 0.874 0.749
Mn3 0.126 0.875 0.251
Mn4 0.251 0.251 0.501
Mn5 0.374 0.622 0.246
Mn6 0.378 0.626 0.754
Mn7 0.500 0.000 0.000
Mn8 0.500 0.500 0.500
Mn9 0.622 0.374 0.246
Mn10 0.626 0.378 0.754
Mn11 0.749 0.749 0.499
Mn12 0.874 0.125 0.749
Mn13 0.875 0.126 0.251
Cr1 0.000 0.000 0.500
Cr2 0.249 0.751 0.000
Cr3 0.751 0.249 0.000
O1 0.003 0.231 0.477
O2 0.020 0.748 0.025
O3 0.104 0.104 0.735
O4 0.106 0.106 0.245
O5 0.145 0.644 0.255
O6 0.145 0.645 0.764
O7 0.231 0.003 0.477
O8 0.246 0.521 0.022
O9 0.252 0.980 0.975
O10 0.275 0.500 0.526
O11 0.355 0.855 0.236
O12 0.356 0.855 0.745
O13 0.389 0.389 0.247
O14 0.395 0.395 0.757
O15 0.479 0.754 0.978
O16 0.500 0.275 0.526
O17 0.500 0.725 0.474
O18 0.521 0.246 0.022
O19 0.605 0.605 0.243
O20 0.611 0.611 0.753
O21 0.644 0.145 0.255
O22 0.645 0.145 0.764
O23 0.725 0.500 0.474
O24 0.748 0.020 0.025
O25 0.754 0.479 0.978
O26 0.769 0.997 0.523
O27 0.855 0.355 0.236
O28 0.855 0.356 0.745
O29 0.894 0.894 0.755
O30 0.896 0.896 0.265
O31 0.980 0.252 0.975
O32 0.997 0.769 0.523
```

Most intense lines, 2θ = 10–90°, most intense first:
2θ (°), I/Imax
18.4, 100
43.7, 49
18.1, 40
41.8, 28
35.9, 20
61.8, 15
62.5, 15
34.8, 13
36.0, 12
37.2, 11

Record 3
Starting from a structure optimized by DFT (GGA+U), the powder diffractogram of Li5Mn2CrO8 was computed for Cu Kα X-rays.
Neutral-atom scattering factors, no anomalous dispersion.

```
data_Li5Mn2CrO8
_symmetry_space_group_name_H-M 'P 1'
_symmetry_Int_Tables_number 1
_symmetry_space_group_name_Hall 'P 1'
_cell_length_a 5.830
_cell_length_b 5.830
_cell_length_c 5.893
_cell_angle_alpha 120.17
_cell_angle_beta 120.17
_cell_angle_gamma 59.77
loop_
_atom_site_label
_atom_site_fract_x
_atom_site_fract_y
_atom_site_fract_z
Li1 0.000 0.000 0.000
Li2 0.000 0.000 0.500
Li3 0.000 0.500 0.000
Li4 0.500 0.000 0.000
Li5 0.500 0.500 0.000
Mn1 0.000 0.500 0.500
Mn2 0.500 0.000 0.500
Cr1 0.500 0.500 0.500
O1 0.242 0.726 0.725
O2 0.250 0.250 0.723
O3 0.254 0.254 0.276
O4 0.274 0.758 0.275
O5 0.726 0.242 0.725
O6 0.746 0.746 0.724
O7 0.750 0.750 0.277
O8 0.758 0.274 0.275
```

Most intense lines, 2θ = 10–90°, most intense first:
2θ (°), I/Imax
18.5, 100
43.8, 56
36.2, 36
44.0, 27
18.7, 16
21.5, 16
63.9, 15
63.7, 14
57.7, 10
67.3, 8

Record 4
Starting from a structure optimized by DFT (GGA+U), the powder diffractogram of Li2Mn3CrO8 was computed for Cu Kα X-rays.
Neutral-atom scattering factors, no anomalous dispersion.

```
data_Li2Mn3CrO8
_symmetry_space_group_name_H-M 'P 1'
_symmetry_Int_Tables_number 1
_symmetry_space_group_name_Hall 'P 1'
_cell_length_a 8.315
_cell_length_b 8.315
_cell_length_c 8.525
_cell_angle_alpha 90.00
_cell_angle_beta 90.00
_cell_angle_gamma 90.00
loop_
_atom_site_label
_atom_site_fract_x
_atom_site_fract_y
_atom_site_fract_z
Li1 0.001 0.246 0.372
Li2 0.246 0.001 0.628
Li3 0.254 0.501 0.122
Li4 0.499 0.746 0.378
Li5 0.501 0.254 0.878
Li6 0.746 0.499 0.622
Li7 0.754 0.999 0.128
Li8 0.999 0.754 0.872
Mn1 0.122 0.623 0.504
Mn2 0.123 0.378 0.754
Mn3 0.129 0.871 0.250
Mn4 0.371 0.371 0.500
Mn5 0.377 0.878 0.996
Mn6 0.378 0.123 0.246
Mn7 0.622 0.877 0.746
Mn8 0.623 0.122 0.496
Mn9 0.629 0.629 0.000
Mn10 0.871 0.129 0.750
Mn11 0.877 0.622 0.254
Mn12 0.878 0.377 0.004
Cr1 0.126 0.126 0.000
Cr2 0.374 0.626 0.750
Cr3 0.626 0.374 0.250
Cr4 0.874 0.874 0.500
O1 0.108 0.145 0.764
O2 0.110 0.371 0.983
O3 0.112 0.851 0.505
O4 0.115 0.632 0.273
O5 0.129 0.610 0.733
O6 0.132 0.385 0.523
O7 0.145 0.108 0.236
O8 0.149 0.888 0.995
O9 0.351 0.388 0.755
O10 0.355 0.608 0.514
O11 0.368 0.885 0.227
O12 0.371 0.110 0.017
O13 0.385 0.132 0.477
O14 0.388 0.351 0.245
O15 0.390 0.871 0.767
O16 0.392 0.645 0.986
O17 0.608 0.355 0.486
O18 0.610 0.129 0.267
O19 0.612 0.649 0.745
O20 0.615 0.868 0.977
O21 0.629 0.890 0.517
O22 0.632 0.115 0.727
O23 0.645 0.392 0.014
O24 0.649 0.612 0.255
O25 0.851 0.112 0.495
O26 0.855 0.892 0.736
O27 0.868 0.615 0.023
O28 0.871 0.390 0.233
O29 0.885 0.368 0.773
O30 0.888 0.149 0.005
O31 0.890 0.629 0.483
O32 0.892 0.855 0.264
```

Most intense lines, 2θ = 10–90°, most intense first:
2θ (°), I/Imax
18.3, 100
43.5, 36
35.7, 30
62.4, 22
42.4, 19
35.1, 16
57.5, 12
63.3, 10
37.1, 10
79.1, 8

Record 5
Starting from a structure optimized by DFT (GGA+U), the powder diffractogram of Li4Mn3Cr2O10 was computed for Cu Kα X-rays.
Neutral-atom scattering factors, no anomalous dispersion.

```
data_Li4Mn3Cr2O10
_symmetry_space_group_name_H-M 'P 1'
_symmetry_Int_Tables_number 1
_symmetry_space_group_name_Hall 'P 1'
_cell_length_a 5.265
_cell_length_b 5.423
_cell_length_c 6.932
_cell_angle_alpha 87.09
_cell_angle_beta 75.88
_cell_angle_gamma 80.58
loop_
_atom_site_label
_atom_site_fract_x
_atom_site_fract_y
_atom_site_fract_z
Li1 0.000 0.000 0.000
Li2 0.175 0.387 0.124
Li3 0.487 0.853 0.194
Li4 0.743 0.494 0.938
Mn1 0.542 0.062 0.832
Mn2 0.635 0.322 0.336
Mn3 0.937 0.761 0.423
Cr1 0.065 0.209 0.582
Cr2 0.314 0.616 0.718
O1 0.145 0.319 0.835
O2 0.262 0.503 0.447
O3 0.379 0.765 0.959
O4 0.425 0.033 0.447
O5 0.540 0.875 0.589
O6 0.584 0.186 0.070
O7 0.674 0.360 0.670
O8 0.797 0.599 0.213
O9 0.984 0.121 0.317
O10 0.985 0.878 0.719
```

Most intense lines, 2θ = 10–90°, most intense first:
2θ (°), I/Imax
13.2, 100
39.6, 56
42.2, 53
41.9, 51
24.5, 48
27.4, 40
31.2, 33
58.2, 29
35.5, 22
60.8, 16

Record 6
Starting from a structure optimized by DFT (GGA+U), the powder diffractogram of Li2Mn3CrO8 was computed for Cu Kα X-rays.
Neutral-atom scattering factors, no anomalous dispersion.

```
data_Li2Mn3CrO8
_symmetry_space_group_name_H-M 'P 1'
_symmetry_Int_Tables_number 1
_symmetry_space_group_name_Hall 'P 1'
_cell_length_a 5.814
_cell_length_b 5.953
_cell_length_c 5.957
_cell_angle_alpha 119.00
_cell_angle_beta 118.92
_cell_angle_gamma 90.05
loop_
_atom_site_label
_atom_site_fract_x
_atom_site_fract_y
_atom_site_fract_z
Li1 0.000 0.000 0.000
Li2 0.500 0.000 0.500
Mn1 0.000 0.500 0.000
Mn2 0.000 0.500 0.500
Mn3 0.500 0.500 0.000
Cr1 0.500 0.500 0.500
O1 0.217 0.694 0.445
O2 0.254 0.726 0.016
O3 0.264 0.297 0.033
O4 0.271 0.298 0.547
O5 0.729 0.702 0.453
O6 0.736 0.703 0.967
O7 0.746 0.274 0.984
O8 0.783 0.306 0.555
```

Most intense lines, 2θ = 10–90°, most intense first:
2θ (°), I/Imax
17.9, 100
43.5, 36
41.6, 20
34.7, 11
35.9, 11
36.1, 10
62.4, 10
57.0, 9
54.8, 5
62.1, 5

Number 3 is which compound? Li5Mn2CrO8